# Fe3Co5
Calculated X-ray powder pattern, a wavelength of 1.5418 Å. Input: a DFT-relaxed cell (PBE, Alexandria).
Intensities are scaled so that the largest is 100.

Principal peaks in the range 2θ = 10–90°, in order of rising 2θ:
2θ/deg, d_spacing, I (rel.)
45.1, 2.011, 100
45.7, 1.984, 48
64.7, 1.442, 8
66.5, 1.406, 7
66.8, 1.401, 7
82.8, 1.166, 15
84.0, 1.152, 14
84.2, 1.150, 14

Crystal structure
```
8
Lattice="2.811 0.000 0.000 0.000 5.602 2.883 0.000 -5.602 2.883" Properties=species:S:1:pos:R:3 pbc="T T T"
Fe 0.000 0.000 0.000
Fe 1.406 -1.423 1.455
Fe 1.406 1.423 1.455
Co 0.000 -2.795 2.887
Co 0.000 0.000 2.845
Co 0.000 2.795 2.887
Co 1.406 -1.362 4.345
Co 1.406 1.362 4.345
```